Calculated powder diffraction line list of MnAgF6 for a wavelength of 1.5418 Å, from a PBE+U-relaxed structure.
Intensities are scaled so that the largest is 100.

Structure:
Cell lengths 8.071, 8.071, 8.071 Å; angles 90.00, 90.00, 90.00 degrees
Space group Fm-3m (No. 225)
One atom of each set of equivalent atoms:
Mn  0.000  0.000  0.000 (multiplicity 4)
Ag  0.000  0.000  0.500 (multiplicity 4)
F  0.000  0.000  0.230 (multiplicity 24)

Main lines, in order of rising 2θ (10 to 80 degrees two-theta):
2θ = 19.05°, I 6.1; 2θ = 22.03°, I 100.0; 2θ = 31.35°, I 31.0; 2θ = 36.94°, I 8.6; 2θ = 44.92°, I 24.5; 2θ = 49.21°, I 6.3; 2θ = 50.58°, I 35.9; 2θ = 55.80°, I 11.1; 2θ = 59.52°, I 2.1; 2θ = 65.41°, I 13.0; 2θ = 69.94°, I 15.2; 2θ = 74.33°, I 5.7